No. 1
Diffraction record for YZrTa2. The X-ray powder pattern is theoretical, not measured: it uses a crystal structure in Alexandria, relaxed with PBE and Cu Kα.
Lines closer than 0.1° are merged.

Top 10 peaks for 15 to 90 degrees two-theta, low angle first:
2θ/deg, d_spacing, I/Imax
35.22, 2.548, 100
36.62, 2.454, 56
38.60, 2.333, 14
44.64, 2.030, 24
52.75, 1.735, 20
62.27, 1.491, 9
65.03, 1.434, 33
71.53, 1.319, 12
88.43, 1.106, 7
89.25, 1.097, 9

a = 3.470 Å, b = 3.470 Å, c = 7.508 Å
α = 90.00°, β = 90.00°, γ = 90.00°
Fractional coordinates of all 4 atoms:
1 Y 0.000 0.000 0.000
2 Zr 0.500 0.500 0.317
3 Ta 0.000 0.000 0.541
4 Ta 0.500 0.500 0.722

---

No. 2
Diffraction record for TaZn. The X-ray powder pattern is theoretical, not measured: it uses a crystal structure in Alexandria, relaxed with PBE and Cu Kα.
Lines closer than 0.1° are merged.

Top 10 peaks for 15 to 90 degrees two-theta, low angle first:
2θ/deg, d_spacing, I/Imax
32.44, 2.760, 11
33.64, 2.664, 21
38.69, 2.327, 100
43.73, 2.070, 15
45.59, 1.990, 33
65.02, 1.434, 19
66.45, 1.407, 11
76.96, 1.239, 9
79.63, 1.204, 24
82.99, 1.164, 9

a = 2.814 Å, b = 2.814 Å, c = 8.279 Å
α = 90.00°, β = 90.00°, γ = 90.00°
Fractional coordinates of all 4 atoms:
1 Ta 0.250 0.250 0.142
2 Ta 0.750 0.750 0.858
3 Zn 0.250 0.250 0.609
4 Zn 0.750 0.750 0.391

---

No. 3
Diffraction record for TaZn5. The X-ray powder pattern is theoretical, not measured: it uses a crystal structure in Alexandria, relaxed with PBE and Cu Kα.
Lines closer than 0.1° are merged.

Top 10 peaks for 15 to 90 degrees two-theta, low angle first:
2θ/deg, d_spacing, I/Imax
17.39, 5.100, 24
36.03, 2.493, 25
38.29, 2.350, 54
38.49, 2.339, 88
40.90, 2.206, 59
41.15, 2.194, 59
43.02, 2.103, 100
43.13, 2.097, 94
55.52, 1.655, 22
66.27, 1.410, 33

a = 10.571 Å, b = 2.665 Å, c = 6.860 Å
α = 90.00°, β = 105.23°, γ = 90.00°
Fractional coordinates of all 12 atoms:
1 Ta 0.000 0.000 0.000
2 Ta 0.500 0.500 0.000
3 Zn 0.058 0.000 0.619
4 Zn 0.169 0.500 0.345
5 Zn 0.226 0.500 0.951
6 Zn 0.333 0.000 0.660
7 Zn 0.391 0.000 0.281
8 Zn 0.558 0.500 0.619
9 Zn 0.669 0.000 0.345
10 Zn 0.726 0.000 0.951
11 Zn 0.833 0.500 0.660
12 Zn 0.891 0.500 0.281

---

No. 4
Diffraction record for Ta2Zn3. The X-ray powder pattern is theoretical, not measured: it uses a crystal structure in Alexandria, relaxed with PBE and Cu Kα.
Lines closer than 0.1° are merged.

Top 10 peaks for 15 to 90 degrees two-theta, low angle first:
2θ/deg, d_spacing, I/Imax
28.29, 3.155, 27
33.61, 2.666, 39
34.93, 2.569, 53
36.97, 2.431, 45
39.55, 2.279, 100
39.77, 2.266, 40
40.08, 2.250, 56
42.15, 2.144, 98
57.75, 1.596, 25
60.93, 1.521, 23

a = 7.090 Å, b = 5.238 Å, c = 8.001 Å
α = 60.57°, β = 40.05°, γ = 79.38°
Fractional coordinates of all 10 atoms:
1 Ta 0.128 0.872 0.269
2 Ta 0.519 0.981 0.378
3 Ta 0.872 0.128 0.731
4 Ta 0.981 0.519 0.122
5 Zn 0.146 0.146 0.854
6 Zn 0.396 0.396 0.104
7 Zn 0.465 0.557 0.303
8 Zn 0.557 0.465 0.674
9 Zn 0.576 0.947 0.693
10 Zn 0.947 0.576 0.785

---

No. 5
Diffraction record for Ta3Zn. The X-ray powder pattern is theoretical, not measured: it uses a crystal structure in Alexandria, relaxed with PBE and Cu Kα.
Lines closer than 0.1° are merged.

Top 10 peaks for 15 to 90 degrees two-theta, low angle first:
2θ/deg, d_spacing, I/Imax
28.16, 3.168, 6
37.66, 2.388, 100
38.01, 2.367, 32
43.87, 2.064, 65
63.54, 1.464, 22
64.02, 1.454, 20
76.28, 1.248, 13
76.50, 1.245, 24
76.94, 1.239, 11
80.42, 1.194, 11

a = 9.618 Å, b = 2.928 Å, c = 5.072 Å
α = 90.00°, β = 100.13°, γ = 90.00°
Fractional coordinates of all 8 atoms:
1 Ta 0.000 0.000 0.000
2 Ta 0.240 0.000 0.739
3 Ta 0.260 0.500 0.261
4 Ta 0.500 0.500 0.000
5 Ta 0.740 0.500 0.739
6 Ta 0.760 0.000 0.261
7 Zn 0.000 0.500 0.500
8 Zn 0.500 0.000 0.500

---

No. 6
Diffraction record for TaZn22. The X-ray powder pattern is theoretical, not measured: it uses a crystal structure in Alexandria, relaxed with PBE and Cu Kα.
Lines closer than 0.1° are merged.

Top 10 peaks for 15 to 90 degrees two-theta, low angle first:
2θ/deg, d_spacing, I/Imax
36.24, 2.479, 19
37.97, 2.370, 100
40.70, 2.217, 57
42.27, 2.138, 81
42.78, 2.114, 72
55.62, 1.652, 22
66.33, 1.409, 21
69.70, 1.349, 19
76.93, 1.239, 45
78.00, 1.225, 19

a = 9.914 Å, b = 9.914 Å, c = 9.914 Å
α = 60.00°, β = 60.00°, γ = 60.00°
Fractional coordinates of all 46 atoms:
1 Ta 0.125 0.125 0.125
2 Ta 0.875 0.875 0.875
3 Zn 0.000 0.000 0.000
4 Zn 0.000 0.000 0.500
5 Zn 0.000 0.500 0.000
6 Zn 0.000 0.500 0.500
7 Zn 0.058 0.318 0.318
8 Zn 0.058 0.318 0.805
9 Zn 0.058 0.805 0.318
10 Zn 0.195 0.682 0.682
11 Zn 0.195 0.682 0.942
12 Zn 0.195 0.942 0.682
13 Zn 0.235 0.235 0.515
14 Zn 0.235 0.515 0.235
15 Zn 0.235 0.515 0.515
16 Zn 0.318 0.058 0.318
17 Zn 0.318 0.058 0.805
18 Zn 0.318 0.318 0.058
19 Zn 0.318 0.318 0.805
20 Zn 0.318 0.805 0.058
21 Zn 0.318 0.805 0.318
22 Zn 0.485 0.485 0.765
23 Zn 0.485 0.765 0.485
24 Zn 0.485 0.765 0.765
25 Zn 0.500 0.000 0.000
26 Zn 0.500 0.000 0.500
27 Zn 0.500 0.500 0.000
28 Zn 0.500 0.500 0.500
29 Zn 0.515 0.235 0.235
30 Zn 0.515 0.235 0.515
31 Zn 0.515 0.515 0.235
32 Zn 0.682 0.195 0.682
33 Zn 0.682 0.195 0.942
34 Zn 0.682 0.682 0.195
35 Zn 0.682 0.682 0.942
36 Zn 0.682 0.942 0.195
37 Zn 0.682 0.942 0.682
38 Zn 0.765 0.485 0.485
39 Zn 0.765 0.485 0.765
40 Zn 0.765 0.765 0.485
41 Zn 0.805 0.058 0.318
42 Zn 0.805 0.318 0.058
43 Zn 0.805 0.318 0.318
44 Zn 0.942 0.195 0.682
45 Zn 0.942 0.682 0.195
46 Zn 0.942 0.682 0.682

---

No. 7
Diffraction record for TaZn5. The X-ray powder pattern is theoretical, not measured: it uses a crystal structure in Alexandria, relaxed with PBE and Cu Kα.
Lines closer than 0.1° are merged.

Top 10 peaks for 15 to 90 degrees two-theta, low angle first:
2θ/deg, d_spacing, I/Imax
21.49, 4.135, 12
24.86, 3.581, 10
35.45, 2.532, 46
41.83, 2.160, 100
43.78, 2.068, 25
63.64, 1.462, 17
68.01, 1.378, 30
75.01, 1.266, 22
85.80, 1.133, 7
89.78, 1.092, 11

a = 5.065 Å, b = 5.065 Å, c = 5.065 Å
α = 60.00°, β = 60.00°, γ = 60.00°
Fractional coordinates of all 6 atoms:
1 Ta 0.000 0.000 0.000
2 Zn 0.374 0.374 0.374
3 Zn 0.374 0.374 0.878
4 Zn 0.374 0.878 0.374
5 Zn 0.750 0.750 0.750
6 Zn 0.878 0.374 0.374

---

No. 8
Diffraction record for TaZn2. The X-ray powder pattern is theoretical, not measured: it uses a crystal structure in Alexandria, relaxed with PBE and Cu Kα.
Lines closer than 0.1° are merged.

Top 10 peaks for 15 to 90 degrees two-theta, low angle first:
2θ/deg, d_spacing, I/Imax
18.63, 4.762, 31
34.93, 2.569, 18
39.09, 2.304, 100
39.20, 2.298, 97
44.75, 2.025, 68
47.01, 1.933, 30
66.92, 1.398, 38
78.60, 1.217, 23
78.82, 1.214, 21
82.00, 1.175, 22

a = 5.716 Å, b = 3.866 Å, c = 8.609 Å
α = 90.00°, β = 90.00°, γ = 90.00°
Fractional coordinates of all 12 atoms:
1 Ta 0.108 0.250 0.091
2 Ta 0.392 0.750 0.591
3 Ta 0.608 0.250 0.409
4 Ta 0.892 0.750 0.909
5 Zn 0.117 0.250 0.424
6 Zn 0.141 0.250 0.754
7 Zn 0.359 0.750 0.254
8 Zn 0.383 0.750 0.924
9 Zn 0.617 0.250 0.076
10 Zn 0.641 0.250 0.746
11 Zn 0.859 0.750 0.246
12 Zn 0.883 0.750 0.576

---

No. 9
Diffraction record for ZrTa2. The X-ray powder pattern is theoretical, not measured: it uses a crystal structure in Alexandria, relaxed with PBE and Cu Kα.
Lines closer than 0.1° are merged.

Top 10 peaks for 15 to 90 degrees two-theta, low angle first:
2θ/deg, d_spacing, I/Imax
21.21, 4.190, 16
36.18, 2.483, 51
37.01, 2.429, 100
37.25, 2.414, 49
37.75, 2.383, 84
44.96, 2.016, 28
54.04, 1.697, 21
59.76, 1.548, 24
66.51, 1.406, 18
67.05, 1.396, 29

a = 2.895 Å, b = 8.430 Å, c = 4.828 Å
α = 90.00°, β = 90.00°, γ = 90.00°
Fractional coordinates of all 6 atoms:
1 Zr 0.000 0.000 0.000
2 Zr 0.500 0.500 0.500
3 Ta 0.145 0.336 0.000
4 Ta 0.355 0.836 0.500
5 Ta 0.645 0.164 0.500
6 Ta 0.855 0.664 0.000

---

No. 10
Diffraction record for ZrTa5. The X-ray powder pattern is theoretical, not measured: it uses a crystal structure in Alexandria, relaxed with PBE and Cu Kα.
Lines closer than 0.1° are merged.

Top 10 peaks for 15 to 90 degrees two-theta, low angle first:
2θ/deg, d_spacing, I/Imax
19.68, 4.510, 2
36.76, 2.445, 1
37.86, 2.376, 100
45.90, 1.977, 1
48.67, 1.871, 1
54.61, 1.680, 17
68.34, 1.373, 24
68.43, 1.371, 11
80.88, 1.189, 9
81.02, 1.187, 2

a = 4.755 Å, b = 14.242 Å, c = 3.364 Å
α = 90.00°, β = 90.00°, γ = 90.00°
Fractional coordinates of all 12 atoms:
1 Zr 0.000 0.000 0.000
2 Zr 0.500 0.500 0.000
3 Ta 0.000 0.175 0.500
4 Ta 0.000 0.334 0.000
5 Ta 0.000 0.500 0.500
6 Ta 0.000 0.666 0.000
7 Ta 0.000 0.825 0.500
8 Ta 0.500 0.000 0.500
9 Ta 0.500 0.166 0.000
10 Ta 0.500 0.325 0.500
11 Ta 0.500 0.675 0.500
12 Ta 0.500 0.834 0.000

---

No. 11
Diffraction record for ZrTa7. The X-ray powder pattern is theoretical, not measured: it uses a crystal structure in Alexandria, relaxed with PBE and Cu Kα.
Lines closer than 0.1° are merged.

Top 10 peaks for 15 to 90 degrees two-theta, low angle first:
2θ/deg, d_spacing, I/Imax
18.08, 4.908, 2
20.90, 4.250, 1
29.73, 3.005, 1
35.01, 2.563, 1
36.62, 2.454, 100
42.54, 2.125, 50
46.57, 1.950, 1
61.73, 1.503, 33
73.97, 1.281, 39
77.85, 1.227, 11

a = 6.011 Å, b = 6.011 Å, c = 6.011 Å
α = 60.00°, β = 60.00°, γ = 60.00°
Fractional coordinates of all 8 atoms:
1 Zr 0.000 0.000 0.000
2 Ta 0.000 0.000 0.500
3 Ta 0.000 0.500 0.000
4 Ta 0.000 0.500 0.500
5 Ta 0.500 0.000 0.000
6 Ta 0.500 0.000 0.500
7 Ta 0.500 0.500 0.000
8 Ta 0.500 0.500 0.500

---

No. 12
Diffraction record for ZrTa2. The X-ray powder pattern is theoretical, not measured: it uses a crystal structure in Alexandria, relaxed with PBE and Cu Kα.
Lines closer than 0.1° are merged.

Top 10 peaks for 15 to 90 degrees two-theta, low angle first:
2θ/deg, d_spacing, I/Imax
17.06, 5.196, 16
37.12, 2.422, 100
37.55, 2.395, 51
41.51, 2.175, 7
51.59, 1.772, 9
52.86, 1.732, 8
54.15, 1.694, 18
66.63, 1.404, 15
67.48, 1.388, 35
79.08, 1.211, 9

a = 3.388 Å, b = 3.388 Å, c = 10.392 Å
α = 90.00°, β = 90.00°, γ = 90.00°
Fractional coordinates of all 6 atoms:
1 Zr 0.000 0.000 0.000
2 Zr 0.500 0.500 0.500
3 Ta 0.000 0.000 0.319
4 Ta 0.000 0.000 0.681
5 Ta 0.500 0.500 0.181
6 Ta 0.500 0.500 0.819

---

No. 13
Diffraction record for Zr7Ta. The X-ray powder pattern is theoretical, not measured: it uses a crystal structure in Alexandria, relaxed with PBE and Cu Kα.
Lines closer than 0.1° are merged.

Top 10 peaks for 15 to 90 degrees two-theta, low angle first:
2θ/deg, d_spacing, I/Imax
17.12, 5.179, 5
19.80, 4.485, 3
28.14, 3.171, 3
33.12, 2.705, 4
34.64, 2.589, 100
40.21, 2.243, 49
58.18, 1.586, 33
69.51, 1.352, 38
73.09, 1.295, 11
86.87, 1.121, 5

a = 6.343 Å, b = 6.343 Å, c = 6.343 Å
α = 60.00°, β = 60.00°, γ = 60.00°
Fractional coordinates of all 8 atoms:
1 Zr 0.000 0.000 0.000
2 Zr 0.000 0.000 0.500
3 Zr 0.000 0.500 0.000
4 Zr 0.000 0.500 0.500
5 Zr 0.500 0.000 0.000
6 Zr 0.500 0.000 0.500
7 Zr 0.500 0.500 0.000
8 Ta 0.500 0.500 0.500

---

No. 14
Diffraction record for ZrTa3. The X-ray powder pattern is theoretical, not measured: it uses a crystal structure in Alexandria, relaxed with PBE and Cu Kα.
Lines closer than 0.1° are merged.

Top 10 peaks for 15 to 90 degrees two-theta, low angle first:
2θ/deg, d_spacing, I/Imax
22.82, 3.898, 6
37.54, 2.396, 51
37.76, 2.382, 100
44.39, 2.041, 2
54.14, 1.694, 18
54.80, 1.675, 9
67.89, 1.381, 36
68.32, 1.373, 18
80.12, 1.198, 6
80.66, 1.191, 11

a = 4.791 Å, b = 4.791 Å, c = 6.701 Å
α = 90.00°, β = 90.00°, γ = 90.00°
Fractional coordinates of all 8 atoms:
1 Zr 0.000 0.000 0.000
2 Zr 0.500 0.500 0.500
3 Ta 0.000 0.000 0.500
4 Ta 0.000 0.500 0.250
5 Ta 0.000 0.500 0.750
6 Ta 0.500 0.000 0.250
7 Ta 0.500 0.000 0.750
8 Ta 0.500 0.500 0.000